# Na2UCo2O6
Computed powder X-ray diffraction pattern, Cu Kα (λ = 1.5418 Å). Input: a crystal structure in Alexandria, relaxed with PBE+U.
Kinematic intensities with the Lorentz-polarization factor, no thermal factor.

Principal peaks in the range 15° ≤ 2θ ≤ 90°, by intensity:
Position (°2θ)	intensity
15.68	1000
19.90	428
41.26	365
34.82	325
36.81	265
25.41	229

Structural model:
abc: 5.2742 5.2742 6.1501
angles: 102.10 102.10 115.84
Fractional coordinates of all 11 atoms:
Na  0.1781  0.8219  0.0000
Na  0.8219  0.1781  0.0000
U  0.0000  0.0000  0.5000
Co  0.3370  0.6630  0.5000
Co  0.6630  0.3370  0.5000
O  0.0345  0.3856  0.7064
O  0.2676  0.2676  0.3159
O  0.3856  0.0345  0.7064
O  0.6144  0.9655  0.2936
O  0.7324  0.7324  0.6841
O  0.9655  0.6144  0.2936